# 1
Calculated XRD peak list
Compound: Ba8Eu7Cl34
Radiation: Cu Kα X-rays
Structure: the PBE geometry in the Materials Project
Intensities are scaled so that the largest is 100.

Structure:
```
49
Lattice="-5.685 5.685 10.948 5.685 -5.685 10.948 5.685 5.685 -10.948" Properties=species:S:1:pos:R:3 pbc="T T T"
Ba 7.766 -1.568 3.477
Ba 4.117 -2.081 7.471
Ba 3.605 1.568 3.477
Ba -1.568 3.605 3.477
Ba 7.254 2.081 7.471
Ba 2.081 4.117 7.471
Ba 1.568 7.766 3.477
Ba -2.081 7.254 7.471
Eu 0.000 0.000 0.000
Eu 6.917 2.047 0.000
Eu 0.000 0.000 6.822
Eu 2.047 4.454 0.000
Eu 3.638 1.232 10.948
Eu 0.000 0.000 15.074
Eu -1.232 3.638 10.948
Cl 9.079 0.910 -1.663
Cl 4.656 3.471 -5.716
Cl 5.685 0.000 1.686
Cl 0.910 2.291 -1.663
Cl 2.214 -1.029 5.232
Cl 9.079 0.910 1.663
Cl 6.511 3.287 -2.638
Cl 4.110 2.578 0.000
Cl 5.685 0.000 5.474
Cl 0.910 2.291 1.663
Cl 3.287 4.859 -2.638
Cl 3.471 6.714 -5.716
Cl 3.108 -1.575 10.948
Cl 6.511 3.287 2.638
Cl 5.685 0.000 9.262
Cl 1.029 2.214 5.232
Cl 2.398 0.826 8.310
Cl 3.287 4.859 2.638
Cl 4.656 3.471 5.716
Cl 0.000 5.685 1.686
Cl -0.826 2.398 8.310
Cl 2.578 7.260 0.000
Cl 2.214 -1.029 16.663
Cl 2.398 0.826 13.586
Cl 4.776 3.394 9.285
Cl 0.000 5.685 5.474
Cl 1.575 3.108 10.948
Cl -0.826 2.398 13.586
Cl -3.394 4.776 9.285
Cl 3.471 6.714 5.716
Cl 4.776 3.394 12.611
Cl 0.000 5.685 9.262
Cl 1.029 2.214 16.663
Cl -3.394 4.776 12.611
```

Top 10 peaks for 2θ = 5–70°, by angle:
21.30 deg, intensity 100; 24.39 deg, intensity 9; 24.76 deg, intensity 15; 34.78 deg, intensity 9; 35.04 deg, intensity 59; 35.30 deg, intensity 26; 41.13 deg, intensity 19; 41.60 deg, intensity 33; 55.30 deg, intensity 10; 63.19 deg, intensity 11

# 2
Calculated XRD peak list
Compound: Tb7Mg3Ge8
Radiation: Cu Kα X-rays
Structure: the PBE geometry in the Materials Project
Intensities are scaled so that the largest is 100.

Structure:
```
36
Lattice="7.845 0.000 0.000 0.000 7.180 0.000 -0.002 0.000 14.499" Properties=species:S:1:pos:R:3 pbc="T T T"
Tb 0.509 0.000 5.037
Tb 0.518 0.012 9.471
Tb 0.566 4.903 12.691
Tb 0.578 4.897 1.795
Tb 3.378 2.450 8.995
Tb 3.404 0.159 12.232
Tb 3.402 0.175 2.256
Tb 4.440 3.749 2.268
Tb 4.441 3.765 12.243
Tb 4.465 6.040 5.504
Tb 7.265 1.307 12.705
Tb 7.277 1.313 1.809
Tb 7.326 3.602 5.029
Tb 7.334 3.590 9.462
Mg 1.827 4.805 7.241
Mg 2.114 2.527 14.499
Mg 3.355 2.433 5.428
Mg 4.489 6.023 9.071
Mg 5.729 6.117 0.001
Mg 6.016 1.215 7.258
Ge 0.882 2.129 7.252
Ge 1.278 7.105 14.489
Ge 1.704 2.459 11.379
Ge 1.714 2.466 3.122
Ge 2.236 4.861 4.172
Ge 2.244 4.899 10.304
Ge 2.681 0.278 7.241
Ge 3.038 5.205 0.004
Ge 4.806 1.615 14.495
Ge 5.163 3.868 7.258
Ge 5.600 1.309 4.195
Ge 5.607 1.271 10.327
Ge 6.130 6.056 11.377
Ge 6.140 6.049 3.120
Ge 6.566 3.515 0.010
Ge 6.962 5.719 7.247
```

Top 10 peaks for 2θ = 5–70°, by angle:
28.02 deg, intensity 20; 31.92 deg, intensity 81; 33.12 deg, intensity 100; 33.67 deg, intensity 43; 35.98 deg, intensity 28; 37.09 deg, intensity 37; 39.36 deg, intensity 36; 48.53 deg, intensity 15; 58.12 deg, intensity 24; 58.54 deg, intensity 16

# 3
Calculated XRD peak list
Compound: KAlS2O8
Radiation: Cu Kα X-rays
Structure: the PBE geometry in the Materials Project
Intensities are scaled so that the largest is 100.

Structure:
```
12
Lattice="5.017 0.000 0.000 -2.508 4.344 0.000 0.000 0.000 7.969" Properties=species:S:1:pos:R:3 pbc="T T T"
K 0.000 0.000 0.000
Al 0.000 0.000 3.985
S 0.000 2.896 2.345
S 2.508 1.448 5.624
O 0.000 1.498 2.842
O -1.211 3.595 2.842
O 0.000 2.896 0.888
O 1.298 0.749 5.127
O 1.211 3.595 2.842
O 2.508 1.448 7.081
O 3.719 0.749 5.127
O 2.508 2.846 5.127
```

Top 10 peaks for 2θ = 5–70°, by angle:
11.10 deg, intensity 19; 20.44 deg, intensity 6; 23.32 deg, intensity 100; 30.44 deg, intensity 43; 33.74 deg, intensity 11; 35.80 deg, intensity 26; 47.68 deg, intensity 20; 50.39 deg, intensity 9; 57.29 deg, intensity 10; 61.03 deg, intensity 9

# 4
Calculated XRD peak list
Compound: Fe4CN4
Radiation: Cu Kα X-rays
Structure: the PBE geometry in the Materials Project
Intensities are scaled so that the largest is 100.

Structure:
```
36
Lattice="9.983 0.000 0.000 0.000 2.708 0.000 0.000 0.000 11.334" Properties=species:S:1:pos:R:3 pbc="T T T"
Fe 0.626 0.677 1.692
Fe 1.142 2.031 4.094
Fe 1.164 0.677 6.493
Fe 1.823 2.031 8.704
Fe 3.169 0.677 3.037
Fe 3.827 2.031 0.826
Fe 3.850 0.677 9.761
Fe 4.366 2.031 7.359
Fe 5.617 0.677 3.975
Fe 6.133 2.031 1.573
Fe 6.156 0.677 10.508
Fe 6.814 2.031 8.297
Fe 8.160 0.677 2.630
Fe 8.819 2.031 4.841
Fe 8.841 0.677 7.240
Fe 9.357 2.031 9.642
C 1.389 0.677 11.282
C 3.602 2.031 5.615
C 6.381 0.677 5.719
C 8.594 2.031 0.052
N 0.211 2.031 7.590
N 0.755 0.677 10.066
N 1.967 2.031 2.438
N 2.253 2.031 5.595
N 2.739 0.677 11.262
N 3.025 0.677 8.105
N 4.236 2.031 4.399
N 4.781 0.677 1.923
N 5.202 2.031 9.411
N 5.747 0.677 6.935
N 6.958 2.031 3.229
N 7.244 2.031 0.072
N 7.730 0.677 5.739
N 8.017 0.677 8.896
N 9.228 2.031 1.268
N 9.772 0.677 3.744
```

Top 10 peaks for 2θ = 5–70°, by angle:
11.81 deg, intensity 38; 15.64 deg, intensity 33; 36.46 deg, intensity 57; 36.88 deg, intensity 32; 37.91 deg, intensity 100; 41.00 deg, intensity 52; 41.13 deg, intensity 55; 43.86 deg, intensity 79; 49.66 deg, intensity 91; 68.12 deg, intensity 35

# 5
Calculated XRD peak list
Compound: Ba2CuS2Cl2
Radiation: Cu Kα X-rays
Structure: the PBE geometry in the Materials Project
Intensities are scaled so that the largest is 100.

Structure:
```
7
Lattice="-2.331 2.331 8.591 2.331 -2.331 8.591 2.331 2.331 -8.591" Properties=species:S:1:pos:R:3 pbc="T T T"
Ba 0.000 0.000 2.180
Ba 0.000 0.000 15.001
Cu 0.000 0.000 8.591
S 2.331 0.000 0.000
S 0.000 2.331 0.000
Cl 0.000 0.000 5.411
Cl 0.000 0.000 11.770
```

Top 10 peaks for 2θ = 5–70°, by angle:
10.30 deg, intensity 27; 19.73 deg, intensity 25; 24.62 deg, intensity 77; 27.04 deg, intensity 96; 32.36 deg, intensity 100; 34.29 deg, intensity 62; 38.62 deg, intensity 70; 46.34 deg, intensity 30; 51.24 deg, intensity 51; 55.76 deg, intensity 23

# 6
Calculated XRD peak list
Compound: TmNp3
Radiation: Cu Kα X-rays
Structure: the PBE geometry in the Materials Project
Intensities are scaled so that the largest is 100.

Structure:
```
4
Lattice="4.617 0.000 0.000 0.000 4.617 0.000 0.000 0.000 4.617" Properties=species:S:1:pos:R:3 pbc="T T T"
Tm 0.000 0.000 0.000
Np 0.000 2.308 2.308
Np 2.308 0.000 2.308
Np 2.308 2.308 0.000
```

Top 8 peaks for 2θ = 5–70°, by angle:
19.22 deg, intensity 1; 27.32 deg, intensity 1; 33.62 deg, intensity 100; 39.02 deg, intensity 50; 43.85 deg, intensity 1; 48.29 deg, intensity 1; 56.37 deg, intensity 35; 67.26 deg, intensity 42

# 7
Calculated XRD peak list
Compound: BiOF
Radiation: Cu Kα X-rays
Structure: the PBE geometry in the Materials Project
Intensities are scaled so that the largest is 100.

Structure:
```
6
Lattice="4.005 0.000 0.000 0.000 4.014 0.000 -0.001 0.000 5.835" Properties=species:S:1:pos:R:3 pbc="T T T"
Bi 0.993 0.000 1.651
Bi 3.012 2.007 4.184
O 0.996 1.996 2.910
O 3.009 4.003 2.925
F 0.969 1.971 5.826
F 3.036 3.979 0.009
```

Top 10 peaks for 2θ = 5–70°, by angle:
26.98 deg, intensity 100; 30.64 deg, intensity 10; 31.55 deg, intensity 24; 38.15 deg, intensity 7; 44.56 deg, intensity 33; 45.17 deg, intensity 9; 45.28 deg, intensity 9; 52.27 deg, intensity 12; 53.45 deg, intensity 32; 55.62 deg, intensity 9

# 8
Calculated XRD peak list
Compound: K2UO4
Radiation: Cu Kα X-rays
Structure: the PBE geometry in the Materials Project
Intensities are scaled so that the largest is 100.

Structure:
```
7
Lattice="-2.181 2.181 6.721 2.181 -2.181 6.721 2.181 2.181 -6.721" Properties=species:S:1:pos:R:3 pbc="T T T"
K 0.000 0.000 2.047
K 0.000 0.000 11.395
U 0.000 0.000 6.721
O 2.181 0.000 0.000
O 0.000 0.000 4.770
O 0.000 2.181 0.000
O 0.000 0.000 8.673
```

Top 10 peaks for 2θ = 5–70°, by angle:
13.17 deg, intensity 95; 21.41 deg, intensity 100; 28.56 deg, intensity 95; 28.94 deg, intensity 59; 31.92 deg, intensity 23; 39.37 deg, intensity 26; 41.39 deg, intensity 32; 47.06 deg, intensity 27; 50.33 deg, intensity 22; 51.05 deg, intensity 39

# 9
Calculated XRD peak list
Compound: Be3Co
Radiation: Cu Kα X-rays
Structure: the PBE geometry in the Materials Project
Intensities are scaled so that the largest is 100.

Structure:
```
4
Lattice="-1.545 1.545 3.476 1.545 -1.545 3.476 1.545 1.545 -3.476" Properties=species:S:1:pos:R:3 pbc="T T T"
Be 0.000 0.000 0.000
Be 1.545 0.000 1.738
Be 0.000 1.545 1.738
Co 0.000 0.000 3.476
```

Top 10 peaks for 2θ = 5–70°, by angle:
25.63 deg, intensity 43; 31.70 deg, intensity 100; 41.33 deg, intensity 24; 49.15 deg, intensity 28; 49.27 deg, intensity 55; 52.66 deg, intensity 11; 59.88 deg, intensity 15; 66.21 deg, intensity 10; 69.06 deg, intensity 9; 69.35 deg, intensity 18